The following is a simulated powder diffraction line list of NdTh3O8. It was derived from a structure optimized by DFT (PBE), using Cu Kα.
No peak broadening, texture or thermal motion is included.

Cell and atoms:
a = 5.626 Å, b = 5.626 Å, c = 5.626 Å
α = 90.00°, β = 90.00°, γ = 90.00°
Sites, in units of the cell vectors:
Nd1 0.000 0.000 0.000
Th1 0.000 0.500 0.500
Th2 0.500 0.000 0.500
Th3 0.500 0.500 0.000
O1 0.253 0.253 0.253
O2 0.253 0.253 0.747
O3 0.253 0.747 0.253
O4 0.253 0.747 0.747
O5 0.747 0.253 0.253
O6 0.747 0.253 0.747
O7 0.747 0.747 0.253
O8 0.747 0.747 0.747

Principal peaks in the range 2θ = 5–70°, by angle:
| 2θ (°) | intensity | h k l |
| --- | --- | --- |
| 27.46 | 100 | 1 1 1 |
| 31.81 | 36 | 2 0 0 |
| 45.61 | 51 | 2 2 0 |
| 54.06 | 48 | 3 1 1 |
| 56.68 | 10 | 2 2 2 |
| 66.48 | 8 | 4 0 0 |